For AcLa2H2, the PBE geometry in Alexandria gives the calculated X-ray powder pattern in this record (copper Kα).

Structural model:
Unit cell a=3.696 b=3.696 c=9.163 alpha=90.00 beta=90.00 gamma=90.00
Element x y z (fractional)
Ac  0.000  0.000  0.000
La  0.500  0.500  0.318
La  0.500  0.500  0.682
H  0.000  0.500  0.500
H  0.500  0.000  0.500

Most intense lines, 2θ = 5–70°, sorted by position:
d = 9.163 Å, intensity 20; d = 3.428 Å, intensity 100; d = 3.054 Å, intensity 38; d = 2.877 Å, intensity 91; d = 2.614 Å, intensity 53; d = 1.986 Å, intensity 47; d = 1.642 Å, intensity 22; d = 1.627 Å, intensity 24; d = 1.581 Å, intensity 22; d = 1.555 Å, intensity 29